For Rb3Te3As, a GGA-PBE-relaxed structure gives the calculated powder diffraction line list in this record (Cu Kα (λ = 1.5418 Å)).

Largest 10 diffraction maxima, sorted by position, 2θ = 10–90°:
2θ = 13.7°, rel. 33, (2 0 1)
2θ = 20.3°, rel. 32, (2 1 0)
2θ = 25.4°, rel. 100, (3 1 1)
2θ = 26.6°, rel. 50, (2 1 3)
2θ = 29.2°, rel. 33, (1 0 5)
2θ = 30.4°, rel. 28, (4 1 1)
2θ = 30.7°, rel. 54, (2 1 4)
2θ = 32.3°, rel. 74, (0 2 0)
2θ = 44.2°, rel. 25, (1 2 5)
2θ = 49.2°, rel. 29, (7 1 2)

Structure:
Cell lengths 14.2119, 5.5372, 15.6393 Å; angles 90.00, 90.00, 90.00 degrees
Space group Pnma (No. 62)
Inequivalent atoms, fractional coordinates:
1 Rb 0.0687 0.2500 0.1041
2 Rb 0.1355 0.7500 0.4759
3 Rb 0.2321 0.7500 0.7806
4 Te 0.0083 0.2500 0.3310
5 Te 0.1019 0.2500 0.8687
6 Te 0.2260 0.2500 0.6183
7 As 0.0611 0.2500 0.6999